Entry 1:
The following is a theoretical powder diffractogram of Ba2SnAsPd6. It was derived from a PBE-relaxed structure, using λ = 1.5418 Å (Cu Kα).
Lines closer than 0.1° are merged.

Atomic structure:
```
data_Ba2SnAsPd6
_cell_length_a 11.746
_cell_length_b 6.790
_cell_length_c 7.106
_cell_angle_alpha 90.00
_cell_angle_beta 123.31
_cell_angle_gamma 90.00
_symmetry_space_group_name_H-M 'C 1 2/m 1'
_symmetry_Int_Tables_number 12
_symmetry_space_group_name_Hall '-C 2y'
loop_
_atom_site_label
_atom_site_fract_x
_atom_site_fract_y
_atom_site_fract_z
Ba1 0.218 0.000 0.154
Sn1 0.000 0.500 0.000
As1 0.000 0.000 0.500
Pd1 0.048 0.293 0.352
Pd2 0.244 0.000 0.648
```

Main lines, sorted by position (10 to 80 degrees two-theta):
- 2θ 29.31, intensity 66
- 2θ 30.34, intensity 49
- 2θ 32.08, intensity 82
- 2θ 36.64, intensity 100
- 2θ 45.64, intensity 41
- 2θ 54.06, intensity 45

---

Entry 2:
The following is a theoretical powder diffractogram of BaTiAs2Pd. It was derived from a PBE-relaxed structure, using λ = 1.5418 Å (Cu Kα).
Lines closer than 0.1° are merged.

Atomic structure:
```
data_BaTiAs2Pd
_cell_length_a 4.185
_cell_length_b 4.185
_cell_length_c 13.338
_cell_angle_alpha 90.00
_cell_angle_beta 90.00
_cell_angle_gamma 90.00
_symmetry_space_group_name_H-M 'I -4 m 2'
_symmetry_Int_Tables_number 119
_symmetry_space_group_name_Hall 'I -4 -2'
loop_
_atom_site_label
_atom_site_fract_x
_atom_site_fract_y
_atom_site_fract_z
Ba1 0.000 0.000 0.000
Ti1 0.000 0.500 0.750
As1 0.000 0.000 0.360
Pd1 0.000 0.500 0.250
```

Main lines, sorted by position (10 to 80 degrees two-theta):
- 2θ 29.31, intensity 100
- 2θ 33.12, intensity 65
- 2θ 40.08, intensity 21
- 2θ 43.24, intensity 44
- 2θ 51.41, intensity 37
- 2θ 53.09, intensity 37

---

Entry 3:
The following is a theoretical powder diffractogram of BaPmAs. It was derived from a PBE-relaxed structure, using λ = 1.5418 Å (Cu Kα).
Lines closer than 0.1° are merged.

Atomic structure:
```
data_BaPmAs
_cell_length_a 4.3681
_cell_length_b 4.3681
_cell_length_c 7.3906
_cell_angle_alpha 90.00
_cell_angle_beta 90.00
_cell_angle_gamma 120.00
_symmetry_space_group_name_H-M 'P 3 m 1'
_symmetry_Int_Tables_number 156
_symmetry_space_group_name_Hall 'P 3 -2"'
loop_
_atom_site_label
_atom_site_fract_x
_atom_site_fract_y
_atom_site_fract_z
Ba1 0.0000 0.0000 0.0000
Pm1 0.3333 0.6667 0.4812
As1 0.6667 0.3333 0.2891
```

Main lines, sorted by position (10 to 80 degrees two-theta):
- 2θ 11.97, intensity 16
- 2θ 26.47, intensity 100
- 2θ 33.91, intensity 37
- 2θ 41.34, intensity 31
- 2θ 43.86, intensity 27
- 2θ 49.76, intensity 18

---

Entry 4:
The following is a theoretical powder diffractogram of BaPrAs2Pt4. It was derived from a PBE-relaxed structure, using λ = 1.5418 Å (Cu Kα).
Lines closer than 0.1° are merged.

Atomic structure:
```
data_BaPrAs2Pt4
_cell_length_a 4.148
_cell_length_b 4.148
_cell_length_c 10.858
_cell_angle_alpha 90.00
_cell_angle_beta 90.00
_cell_angle_gamma 90.00
_symmetry_space_group_name_H-M 'P 4/m m m'
_symmetry_Int_Tables_number 123
_symmetry_space_group_name_Hall '-P 4 2'
loop_
_atom_site_label
_atom_site_fract_x
_atom_site_fract_y
_atom_site_fract_z
Ba1 0.000 0.000 0.000
Pr1 0.000 0.000 0.500
As1 0.500 0.500 0.169
Pt1 0.000 0.500 0.294
```

Main lines, sorted by position (10 to 80 degrees two-theta):
- 2θ 16.33, intensity 46
- 2θ 27.05, intensity 34
- 2θ 34.76, intensity 100
- 2θ 39.55, intensity 53
- 2θ 43.64, intensity 53
- 2θ 52.42, intensity 30

---

Entry 5:
The following is a theoretical powder diffractogram of Ba3As4Pt2. It was derived from a PBE-relaxed structure, using λ = 1.5418 Å (Cu Kα).
Lines closer than 0.1° are merged.

Atomic structure:
```
data_Ba3As4Pt2
_cell_length_a 12.192
_cell_length_b 4.508
_cell_length_c 8.941
_cell_angle_alpha 90.00
_cell_angle_beta 94.72
_cell_angle_gamma 90.00
_symmetry_space_group_name_H-M 'C 1 2/m 1'
_symmetry_Int_Tables_number 12
_symmetry_space_group_name_Hall '-C 2y'
loop_
_atom_site_label
_atom_site_fract_x
_atom_site_fract_y
_atom_site_fract_z
Ba1 0.000 0.000 0.000
Ba2 0.165 0.500 0.666
As1 0.051 0.000 0.373
As2 0.213 0.500 0.057
Pt1 0.114 0.500 0.289
```

Main lines, sorted by position (10 to 80 degrees two-theta):
- 2θ 29.54, intensity 68
- 2θ 29.65, intensity 100
- 2θ 30.09, intensity 54
- 2θ 37.17, intensity 50
- 2θ 40.00, intensity 42
- 2θ 41.36, intensity 75

---

Entry 6:
The following is a theoretical powder diffractogram of Ba6AsPt. It was derived from a PBE-relaxed structure, using λ = 1.5418 Å (Cu Kα).
Lines closer than 0.1° are merged.

Atomic structure:
```
data_Ba6AsPt
_cell_length_a 7.9570
_cell_length_b 7.9570
_cell_length_c 15.2895
_cell_angle_alpha 90.00
_cell_angle_beta 90.00
_cell_angle_gamma 120.00
_symmetry_space_group_name_H-M 'P -3 1 c'
_symmetry_Int_Tables_number 163
_symmetry_space_group_name_Hall '-P 3 2c'
loop_
_atom_site_label
_atom_site_fract_x
_atom_site_fract_y
_atom_site_fract_z
Ba1 0.0126 0.3393 0.1266
As1 0.0000 0.0000 0.0000
Pt1 0.3333 0.6667 0.2500
```

Main lines, sorted by position (10 to 80 degrees two-theta):
- 2θ 14.10, intensity 28
- 2θ 25.24, intensity 100
- 2θ 32.48, intensity 48
- 2θ 39.22, intensity 36
- 2θ 42.11, intensity 26
- 2θ 47.21, intensity 18

---

Entry 7:
The following is a theoretical powder diffractogram of BaPuAs2Pt4. It was derived from a PBE-relaxed structure, using λ = 1.5418 Å (Cu Kα).
Lines closer than 0.1° are merged.

Atomic structure:
```
data_BaPuAs2Pt4
_cell_length_a 4.102
_cell_length_b 4.102
_cell_length_c 10.794
_cell_angle_alpha 90.00
_cell_angle_beta 90.00
_cell_angle_gamma 90.00
_symmetry_space_group_name_H-M 'P 4/m m m'
_symmetry_Int_Tables_number 123
_symmetry_space_group_name_Hall '-P 4 2'
loop_
_atom_site_label
_atom_site_fract_x
_atom_site_fract_y
_atom_site_fract_z
Ba1 0.000 0.000 0.000
Pu1 0.000 0.000 0.500
As1 0.500 0.500 0.171
Pt1 0.000 0.500 0.302
```

Main lines, sorted by position (10 to 80 degrees two-theta):
- 2θ 27.31, intensity 49
- 2θ 35.12, intensity 100
- 2θ 39.94, intensity 88
- 2θ 44.16, intensity 56
- 2θ 75.36, intensity 23
- 2θ 78.36, intensity 23

---

Entry 8:
The following is a theoretical powder diffractogram of Ba2As3Pt12Rh. It was derived from a PBE-relaxed structure, using λ = 1.5418 Å (Cu Kα).
Lines closer than 0.1° are merged.

Atomic structure:
```
data_Ba2As3Pt12Rh
_cell_length_a 8.4155
_cell_length_b 8.4155
_cell_length_c 19.5232
_cell_angle_alpha 90.00
_cell_angle_beta 90.00
_cell_angle_gamma 120.00
_symmetry_space_group_name_H-M 'R -3 m'
_symmetry_Int_Tables_number 166
_symmetry_space_group_name_Hall '-R 3 2"'
loop_
_atom_site_label
_atom_site_fract_x
_atom_site_fract_y
_atom_site_fract_z
Ba1 0.0000 0.0000 0.1198
As1 0.0000 0.5000 0.0000
Pt1 0.0113 0.5057 0.1214
Pt2 0.0276 0.5138 0.3656
Rh1 0.0000 0.0000 0.5000
```

Main lines, sorted by position (10 to 80 degrees two-theta):
- 2θ 30.62, intensity 100
- 2θ 42.99, intensity 67
- 2θ 44.69, intensity 57
- 2θ 53.70, intensity 19
- 2θ 63.75, intensity 19
- 2θ 79.99, intensity 18

---

Entry 9:
The following is a theoretical powder diffractogram of Ba2SiAsPt6. It was derived from a PBE-relaxed structure, using λ = 1.5418 Å (Cu Kα).
Lines closer than 0.1° are merged.

Atomic structure:
```
data_Ba2SiAsPt6
_cell_length_a 11.680
_cell_length_b 6.757
_cell_length_c 6.751
_cell_angle_alpha 90.00
_cell_angle_beta 125.04
_cell_angle_gamma 90.00
_symmetry_space_group_name_H-M 'C 1 2/m 1'
_symmetry_Int_Tables_number 12
_symmetry_space_group_name_Hall '-C 2y'
loop_
_atom_site_label
_atom_site_fract_x
_atom_site_fract_y
_atom_site_fract_z
Ba1 0.211 0.000 0.289
Si1 0.000 0.500 0.000
As1 0.000 0.000 0.500
Pt1 0.046 0.298 0.751
Pt2 0.248 0.500 0.157
```

Main lines, sorted by position (10 to 80 degrees two-theta):
- 2θ 16.10, intensity 45
- 2θ 31.09, intensity 65
- 2θ 32.43, intensity 100
- 2θ 37.65, intensity 55
- 2θ 41.13, intensity 49
- 2θ 49.53, intensity 36

---

Entry 10:
The following is a theoretical powder diffractogram of BaAs2Rh. It was derived from a PBE-relaxed structure, using λ = 1.5418 Å (Cu Kα).
Lines closer than 0.1° are merged.

Atomic structure:
```
data_BaAs2Rh
_cell_length_a 4.804
_cell_length_b 4.178
_cell_length_c 5.215
_cell_angle_alpha 90.00
_cell_angle_beta 101.92
_cell_angle_gamma 90.00
_symmetry_space_group_name_H-M 'P 1 2/m 1'
_symmetry_Int_Tables_number 10
_symmetry_space_group_name_Hall '-P 2y'
loop_
_atom_site_label
_atom_site_fract_x
_atom_site_fract_y
_atom_site_fract_z
Ba1 0.000 0.000 0.000
As1 0.265 0.500 0.610
Rh1 0.500 0.000 0.500
```

Main lines, sorted by position (10 to 80 degrees two-theta):
- 2θ 27.60, intensity 28
- 2θ 28.35, intensity 76
- 2θ 31.47, intensity 100
- 2θ 43.32, intensity 30
- 2θ 44.22, intensity 56
- 2θ 52.58, intensity 26

---

Entry 11:
The following is a theoretical powder diffractogram of BaAs12Ru4. It was derived from a PBE-relaxed structure, using λ = 1.5418 Å (Cu Kα).
Lines closer than 0.1° are merged.

Atomic structure:
```
data_BaAs12Ru4
_cell_length_a 8.654
_cell_length_b 8.654
_cell_length_c 8.654
_cell_angle_alpha 90.00
_cell_angle_beta 90.00
_cell_angle_gamma 90.00
_symmetry_space_group_name_H-M 'I m -3'
_symmetry_Int_Tables_number 204
_symmetry_space_group_name_Hall '-I 2 2 3'
loop_
_atom_site_label
_atom_site_fract_x
_atom_site_fract_y
_atom_site_fract_z
Ba1 0.000 0.000 0.000
As1 0.000 0.152 0.353
Ru1 0.250 0.250 0.250
```

Main lines, sorted by position (10 to 80 degrees two-theta):
- 2θ 29.19, intensity 31
- 2θ 32.72, intensity 100
- 2θ 38.94, intensity 43
- 2θ 46.95, intensity 34
- 2θ 51.75, intensity 44
- 2θ 54.03, intensity 40

---

Entry 12:
The following is a theoretical powder diffractogram of Ba7AsS5. It was derived from a PBE-relaxed structure, using λ = 1.5418 Å (Cu Kα).
Lines closer than 0.1° are merged.

Atomic structure:
```
data_Ba7AsS5
_cell_length_a 15.022
_cell_length_b 4.579
_cell_length_c 26.954
_cell_angle_alpha 90.00
_cell_angle_beta 90.02
_cell_angle_gamma 90.00
_symmetry_space_group_name_H-M 'C 1 m 1'
_symmetry_Int_Tables_number 8
_symmetry_space_group_name_Hall 'C -2y'
loop_
_atom_site_label
_atom_site_fract_x
_atom_site_fract_y
_atom_site_fract_z
Ba1 0.000 0.000 0.000
Ba2 0.000 0.000 0.146
Ba3 0.047 0.500 0.287
Ba4 0.047 0.500 0.858
Ba5 0.095 0.000 0.430
Ba6 0.095 0.000 0.716
Ba7 0.136 0.500 0.573
Ba8 0.232 0.500 0.073
Ba9 0.272 0.000 0.216
Ba10 0.272 0.000 0.930
Ba11 0.320 0.500 0.359
Ba12 0.320 0.500 0.787
Ba13 0.367 0.000 0.646
Ba14 0.368 0.000 0.500
As1 0.390 0.000 0.073
As2 0.477 0.500 0.573
S1 0.140 0.500 0.179
S2 0.140 0.500 0.966
S3 0.183 0.000 0.323
S4 0.184 0.000 0.823
S5 0.227 0.500 0.466
S6 0.227 0.500 0.679
S7 0.410 0.500 0.250
S8 0.410 0.500 0.896
S9 0.457 0.000 0.396
S10 0.457 0.000 0.750
```

Main lines, sorted by position (10 to 80 degrees two-theta):
- 2θ 24.24, intensity 43
- 2θ 26.00, intensity 100
- 2θ 27.21, intensity 83
- 2θ 28.21, intensity 74
- 2θ 39.35, intensity 34
- 2θ 47.78, intensity 38